Theoretical XRD peak list of Ca2Mg for Cu Kα, 1.54184 Å, from a DFT-relaxed cell (PBE, the Materials Project).
Peak positions follow from Bragg's law for the DFT cell and can differ from measured ones.

Most intense lines, 2θ from 10° to 90°, low angle first:
h k l, two_theta, d [Å], I_rel
1 0 0, 27.6, 3.236, 27
0 0 6, 29.8, 2.999, 18
0 1 3, 31.4, 2.848, 100
1 1 0, 48.7, 1.868, 20
1 1 6, 58.2, 1.586, 14
2 0 3, 59.1, 1.562, 14

Structure:
```
Ca2Mg
1.0
3.736 0.000 0.000
-1.868 3.236 0.000
0.000 0.000 17.992
Ca Mg
4 2
Direct
0.333 0.667 0.275
0.333 0.667 0.908
0.667 0.333 0.092
0.667 0.333 0.725
0.333 0.667 0.570
0.667 0.333 0.430
```